# 1
Li2LaMo: computed powder XRD pattern (CuKα), based on the GGA-PBE geometry in Alexandria.
No peak broadening, texture or thermal motion is included.

Atomic structure:
Cell: 3.4574 5.0846 9.8408 Å, 90.00 90.00 90.00°
Atoms (fractional coordinates):
Li1 0.0000 0.0000 0.0000
Li2 0.0000 0.5000 0.2447
Li3 0.5000 0.0000 0.2447
Li4 0.5000 0.5000 0.0000
La1 0.0000 0.0000 0.5565
La2 0.5000 0.5000 0.5565
Mo1 0.0000 0.5000 0.7830
Mo2 0.5000 0.0000 0.7830

Principal peaks in the range 10° ≤ 2θ ≤ 90°, in order of falling intensity:
d (Å)	Position (°2θ)	I (rel.)
2.472	36.34	100.0
2.746	32.62	52.0
2.461	36.51	47.5
2.155	41.92	43.5
2.542	35.30	28.1
1.454	64.04	18.6

# 2
LiLa8N4: computed powder XRD pattern (CuKα), based on the GGA-PBE geometry in Alexandria.
No peak broadening, texture or thermal motion is included.

Atomic structure:
Cell: 7.7804 7.7804 7.7804 Å, 60.00 60.00 60.00°
Atoms (fractional coordinates):
Li1 0.0000 0.0000 0.0000
La1 0.1441 0.1441 0.1441
La2 0.1441 0.1441 0.5676
La3 0.1441 0.5676 0.1441
La4 0.1628 0.6124 0.6124
La5 0.5676 0.1441 0.1441
La6 0.6124 0.1628 0.6124
La7 0.6124 0.6124 0.1628
La8 0.6124 0.6124 0.6124
N1 0.3803 0.3803 0.3803
N2 0.3803 0.3803 0.8592
N3 0.3803 0.8592 0.3803
N4 0.8592 0.3803 0.3803

Principal peaks in the range 10° ≤ 2θ ≤ 90°, in order of falling intensity:
d (Å)	Position (°2θ)	I (rel.)
3.176	28.09	100.0
2.751	32.55	60.4
1.945	46.70	37.7
1.659	55.39	31.9
2.118	42.70	21.1
6.353	13.94	20.2

# 3
LiLa5Si4N10O: computed powder XRD pattern (CuKα), based on the GGA-PBE geometry in Alexandria.
No peak broadening, texture or thermal motion is included.

Atomic structure:
Cell: 5.7557 6.5682 8.3934 Å, 102.99 107.46 94.68°
Atoms (fractional coordinates):
Li1 0.0000 0.0000 0.0000
La1 0.0414 0.4911 0.0167
La2 0.2612 0.2833 0.4010
La3 0.4593 0.1435 0.8656
La4 0.6347 0.8448 0.1937
La5 0.8278 0.7350 0.6556
Si1 0.1688 0.7947 0.4374
Si2 0.3777 0.6463 0.7904
Si3 0.7215 0.3616 0.2724
Si4 0.9269 0.2121 0.6243
N1 0.0310 0.9996 0.5151
N2 0.1974 0.3990 0.7312
N3 0.2474 0.8211 0.9156
N4 0.3743 0.7121 0.5961
N5 0.4210 0.3839 0.1642
N6 0.6882 0.6613 0.9030
N7 0.7212 0.3110 0.4711
N8 0.8305 0.1354 0.7802
N9 0.8325 0.1687 0.1490
N10 0.9296 0.5923 0.3123
O1 0.2955 0.8806 0.3056

Principal peaks in the range 10° ≤ 2θ ≤ 90°, in order of falling intensity:
d (Å)	Position (°2θ)	I (rel.)
2.690	33.30	100.0
3.764	23.64	71.6
4.030	22.06	65.5
3.822	23.28	64.3
2.812	31.82	64.3
2.867	31.19	62.8

# 4
LiLaPN3: computed powder XRD pattern (CuKα), based on the GGA-PBE geometry in Alexandria.
No peak broadening, texture or thermal motion is included.

Atomic structure:
Cell: 5.3962 5.3962 6.4285 Å, 111.69 111.69 66.80°
Atoms (fractional coordinates):
Li1 0.1687 0.8313 0.0000
Li2 0.8313 0.1687 0.0000
La1 0.2017 0.2017 0.6682
La2 0.7983 0.7983 0.3318
P1 0.4351 0.4351 0.2505
P2 0.5649 0.5649 0.7495
N1 0.2297 0.6789 0.6871
N2 0.2417 0.2417 0.1078
N3 0.3211 0.7703 0.3129
N4 0.6789 0.2297 0.6871
N5 0.7583 0.7583 0.8922
N6 0.7703 0.3211 0.3129

Principal peaks in the range 10° ≤ 2θ ≤ 90°, in order of falling intensity:
d (Å)	Position (°2θ)	I (rel.)
4.274	20.78	100.0
2.817	31.76	58.7
2.680	33.44	55.6
2.971	30.08	40.5
2.452	36.64	35.3
5.765	15.37	33.0

# 5
Li2LaPN: computed powder XRD pattern (CuKα), based on the GGA-PBE geometry in Alexandria.
No peak broadening, texture or thermal motion is included.

Atomic structure:
Cell: 6.3145 6.3145 6.3145 Å, 122.68 122.68 85.42°
Atoms (fractional coordinates):
Li1 0.1676 0.6676 0.8352
Li2 0.3324 0.1676 0.5000
Li3 0.6676 0.8324 0.5000
Li4 0.8324 0.3324 0.1648
La1 0.2500 0.2500 0.0000
La2 0.7500 0.7500 0.0000
P1 0.2500 0.7500 0.5000
P2 0.7500 0.2500 0.5000
N1 0.0000 0.0000 0.0000
N2 0.5000 0.5000 0.0000

Principal peaks in the range 10° ≤ 2θ ≤ 90°, in order of falling intensity:
d (Å)	Position (°2θ)	I (rel.)
4.283	20.74	100.0
3.029	29.49	96.6
2.536	35.39	95.6
4.640	19.13	91.6
3.147	28.36	58.8
1.842	49.49	43.2

# 6
Li2LaSN: computed powder XRD pattern (CuKα), based on the GGA-PBE geometry in Alexandria.
No peak broadening, texture or thermal motion is included.

Atomic structure:
Cell: 6.3714 6.3714 6.3714 Å, 124.45 124.45 82.45°
Atoms (fractional coordinates):
Li1 0.1772 0.6772 0.8544
Li2 0.3228 0.1772 0.5000
Li3 0.6772 0.8228 0.5000
Li4 0.8228 0.3228 0.1456
La1 0.2500 0.2500 0.0000
La2 0.7500 0.7500 0.0000
S1 0.2500 0.7500 0.5000
S2 0.7500 0.2500 0.5000
N1 0.0000 0.0000 0.0000
N2 0.5000 0.5000 0.0000

Principal peaks in the range 10° ≤ 2θ ≤ 90°, in order of falling intensity:
d (Å)	Position (°2θ)	I (rel.)
4.792	18.52	100.0
2.524	35.57	95.9
2.969	30.10	90.7
4.199	21.16	89.7
3.158	28.26	54.1
1.865	48.84	44.3

# 7
LiLaTa4N8: computed powder XRD pattern (CuKα), based on the GGA-PBE geometry in Alexandria.
No peak broadening, texture or thermal motion is included.

Atomic structure:
Cell: 6.4462 6.4462 6.4462 Å, 59.32 59.32 59.32°
Atoms (fractional coordinates):
Li1 0.0000 0.0000 0.0000
La1 0.3781 0.3781 0.3781
Ta1 0.0017 0.0017 0.4821
Ta2 0.0017 0.4821 0.0017
Ta3 0.4821 0.0017 0.0017
Ta4 0.6202 0.6202 0.6202
N1 0.2324 0.2324 0.2324
N2 0.2376 0.2376 0.8135
N3 0.2376 0.8135 0.2376
N4 0.2461 0.7351 0.7351
N5 0.7351 0.2461 0.7351
N6 0.7351 0.7351 0.2461
N7 0.7554 0.7554 0.7554
N8 0.8135 0.2376 0.2376

Principal peaks in the range 10° ≤ 2θ ≤ 90°, in order of falling intensity:
d (Å)	Position (°2θ)	I (rel.)
2.721	32.91	100.0
3.223	27.68	68.1
2.732	32.79	54.5
5.290	16.76	37.7
2.752	32.53	32.9
2.609	34.38	32.1

# 8
NaLiLa: computed powder XRD pattern (CuKα), based on the GGA-PBE geometry in Alexandria.
No peak broadening, texture or thermal motion is included.

Atomic structure:
Cell: 3.6826 3.6826 13.7885 Å, 90.00 90.00 90.00°
Atoms (fractional coordinates):
Na1 0.2500 0.2500 0.0942
Na2 0.7500 0.7500 0.9058
Li1 0.2500 0.2500 0.7611
Li2 0.7500 0.7500 0.2389
La1 0.2500 0.2500 0.4070
La2 0.7500 0.7500 0.5930

Principal peaks in the range 10° ≤ 2θ ≤ 90°, in order of falling intensity:
d (Å)	Position (°2θ)	I (rel.)
2.874	31.12	100.0
3.248	27.46	55.4
3.558	25.03	46.1
2.604	34.44	39.4
1.550	59.64	30.4
6.894	12.84	24.8